For NaNb7V2O14, a GGA+U-relaxed structure gives the calculated X-ray powder pattern in this record (Cu Kα (weighted mean of Kα1 and Kα2)).
Intensities are scaled so that the largest is 1000.

Main lines, by angle (15° ≤ 2θ ≤ 90°):
2θ (°)  d [Å]  I (rel.)  index
19.38  4.580  669  1 0 2
29.47  3.031  620  1 0 5
30.94  2.890  788  1 1 2
37.10  2.423  1000  2 0 3
42.08  2.147  509  2 0 5
48.77  1.867  329  2 0 7
52.14  1.754  449  2 1 5
60.90  1.521  483  2 2 0

Crystal structure
Cell lengths 6.0847, 6.0847, 18.5248 Å; angles 90.00, 90.00, 120.00 degrees
Space group P6_3/mmc (No. 194)
Inequivalent atoms, fractional coordinates:
Na  0.0000  0.0000  0.2500 [2 per cell]
Nb  0.1543  0.3086  0.0635 [12 per cell]
Nb  0.3333  0.6667  0.2500 [2 per cell]
V  0.3333  0.6667  0.6741 [4 per cell]
O  0.0000  0.5000  0.0000 [6 per cell]
O  0.0316  0.5158  0.7500 [6 per cell]
O  0.1632  0.3265  0.6276 [12 per cell]
O  0.3333  0.6667  0.1375 [4 per cell]